Starting from a structure optimized by DFT (PBE), the powder diffractogram of DyAl3Ag10 was computed for Cu Kα (weighted mean of Kα1 and Kα2).

The 8 most intense peaks (2θ from 5° to 70°), sorted by position:
30.67°, d = 2.915 Å, intensity 48.4
33.68°, d = 2.661 Å, intensity 28.6
35.79°, d = 2.509 Å, intensity 100.0
39.08°, d = 2.305 Å, intensity 33.3
40.95°, d = 2.204 Å, intensity 50.5
46.19°, d = 1.966 Å, intensity 23.4
58.37°, d = 1.581 Å, intensity 15.3
60.23°, d = 1.537 Å, intensity 29.5

Cell and atoms:
Unit cell a=9.219 b=9.219 c=9.219 alpha=60.00 beta=60.00 gamma=60.00
Element x y z (fractional)
Dy: 0.250 0.250 0.250
Dy: 0.750 0.750 0.750
Al: 0.236 0.236 0.764
Al: 0.236 0.764 0.236
Al: 0.236 0.764 0.764
Al: 0.764 0.236 0.236
Al: 0.764 0.236 0.764
Al: 0.764 0.764 0.236
Ag: 0.118 0.118 0.118
Ag: 0.118 0.118 0.646
Ag: 0.118 0.646 0.118
Ag: 0.153 0.500 0.500
Ag: 0.153 0.500 0.847
Ag: 0.153 0.847 0.500
Ag: 0.354 0.882 0.882
Ag: 0.500 0.153 0.500
Ag: 0.500 0.153 0.847
Ag: 0.500 0.500 0.153
Ag: 0.500 0.500 0.847
Ag: 0.500 0.847 0.153
Ag: 0.500 0.847 0.500
Ag: 0.646 0.118 0.118
Ag: 0.847 0.153 0.500
Ag: 0.847 0.500 0.153
Ag: 0.847 0.500 0.500
Ag: 0.882 0.354 0.882
Ag: 0.882 0.882 0.354
Ag: 0.882 0.882 0.882